1.
This entry pairs a crystal structure of MgGaN with its computed powder diffraction line list. Radiation: Cu Kα (weighted mean of Kα1 and Kα2). Structure: a GGA-PBE-relaxed structure.
Peak positions follow from Bragg's law for the DFT cell and can differ from measured ones.

Cell and atoms:
```
data_MgGaN
_space_group_name_H-M_alt 'P n m a'
_space_group_IT_number 62
_space_group_name_Hall '-P 2ac 2n'
_cell_length_a 7.6342
_cell_length_b 3.6923
_cell_length_c 5.8032
_cell_angle_alpha 90.00
_cell_angle_beta 90.00
_cell_angle_gamma 90.00
loop_
_atom_site_label
_atom_site_fract_x
_atom_site_fract_y
_atom_site_fract_z
_atom_site_occupancy
Mg1 0.1151 0.2500 0.1139 1
Ga1 0.1010 0.2500 0.6013 1
N1 0.1799 0.7500 0.9256 1
```

Most intense lines, 10° ≤ 2θ ≤ 90°, in order of rising 2θ:
two_theta  Rel. int.  h k l
19.21  40  1 0 1
27.98  20  2 0 1
31.01  39  1 1 1
33.03  34  1 0 2
33.77  100  2 1 0
41.30  100  1 1 2
47.53  42  3 0 2
47.65  20  4 0 0
49.36  28  0 2 0
70.93  29  3 2 2
74.55  19  2 1 4
74.83  19  5 1 2

=====

2.
This entry pairs a crystal structure of GePbS6O21 with its computed powder diffraction line list. Radiation: Cu Kα (weighted mean of Kα1 and Kα2). Structure: a GGA-PBE-relaxed structure.
Peak positions follow from Bragg's law for the DFT cell and can differ from measured ones.

Cell and atoms:
```
data_GePbS6O21
_space_group_name_H-M_alt 'P -1'
_space_group_IT_number 2
_space_group_name_Hall '-P 1'
_cell_length_a 9.2873
_cell_length_b 9.5541
_cell_length_c 10.9841
_cell_angle_alpha 89.26
_cell_angle_beta 86.72
_cell_angle_gamma 61.71
loop_
_atom_site_label
_atom_site_fract_x
_atom_site_fract_y
_atom_site_fract_z
_atom_site_occupancy
Ge1 0.0210 0.4901 0.2523 1
Pb1 0.3229 0.8820 0.3746 1
S1 0.0733 0.7594 0.1370 1
S2 0.1009 0.7347 0.6238 1
S3 0.1952 0.1481 0.6798 1
S4 0.3024 0.1714 0.1219 1
S5 0.3129 0.4996 0.7897 1
S6 0.3616 0.2771 0.3477 1
O1 0.0298 0.1095 0.3425 1
O2 0.0457 0.6088 0.6183 1
O3 0.0802 0.8155 0.0177 1
O4 0.0813 0.5952 0.1289 1
O5 0.0822 0.3209 0.6485 1
O6 0.1217 0.1271 0.8139 1
O7 0.1282 0.2987 0.1577 1
O8 0.1712 0.4662 0.8290 1
O9 0.1739 0.0462 0.5950 1
O10 0.1750 0.7649 0.2294 1
O11 0.2019 0.7203 0.5155 1
O12 0.2129 0.4405 0.3381 1
O13 0.2126 0.6870 0.7417 1
O14 0.3187 0.1638 0.4058 1
O15 0.3253 0.0190 0.1651 1
O16 0.3527 0.1838 0.9996 1
O17 0.3588 0.1160 0.7001 1
O18 0.3919 0.5118 0.8925 1
O19 0.4084 0.4043 0.6844 1
O20 0.4167 0.2230 0.2048 1
O21 0.4935 0.2934 0.3941 1
```

Most intense lines, 10° ≤ 2θ ≤ 90°, in order of rising 2θ:
two_theta  Rel. int.  h k l
13.16  39  0 1 -1
13.34  39  1 1 1
13.89  39  1 0 -1
16.17  42  0 0 2
19.18  73  1 1 2
20.40  100  2 1 1
22.79  41  2 0 1
23.80  51  2 2 -1
26.47  37  2 0 2
26.91  56  0 2 2
27.99  37  2 2 -2
32.94  26  3 0 0